Diffraction record for LiTiNiF6. The powder diffractogram is computed, not measured: it uses a DFT-relaxed cell (PBE+U, Alexandria) and Cu Kα (λ = 1.5418 Å).
Neutral-atom scattering factors, no anomalous dispersion.

Top 10 peaks for 2θ = 10–90°, in order of rising 2θ:
- 20.31 deg, d 4.373, I = 83, hkl 1 1 0
- 22.51 deg, d 3.949, I = 82, hkl 0 1 1
- 28.07 deg, d 3.178, I = 95, hkl 1 1 1
- 30.50 deg, d 2.931, I = 50, hkl 2 0 1
- 36.92 deg, d 2.435, I = 43, hkl 1 2 1
- 40.71 deg, d 2.216, I = 85, hkl 0 3 1
- 45.91 deg, d 1.977, I = 22, hkl 2 2 1
- 53.73 deg, d 1.706, I = 100, hkl 0 3 2
- 56.58 deg, d 1.627, I = 23, hkl 2 3 1
- 63.86 deg, d 1.458, I = 43, hkl 3 3 0

```
27
Lattice="8.745 0.000 0.000 -4.373 7.574 0.000 0.000 0.000 4.628" Properties=species:S:1:pos:R:3 pbc="T T T"
Li -3.039 5.264 0.000
Li 1.333 2.309 0.000
Li 6.079 0.000 0.000
Ti -1.542 2.671 2.314
Ti 3.084 0.000 2.314
Ti 2.830 4.902 2.314
Ni 0.000 0.000 2.314
Ni 0.000 5.049 4.589
Ni 4.373 2.525 0.040
F -0.094 1.722 3.368
F -1.519 4.297 3.496
F -2.834 6.794 3.368
F -0.150 3.375 1.102
F 1.539 0.780 1.261
F -1.375 6.016 1.102
F 1.411 4.110 3.496
F 2.997 1.558 3.526
F 0.108 6.741 3.496
F 2.854 3.277 1.133
F 1.525 5.757 1.102
F 4.481 0.833 1.133
F 4.223 4.199 3.526
F 2.928 6.631 3.368
F 5.898 1.817 3.526
F 4.279 5.851 1.261
F 5.783 3.464 1.133
F 7.301 0.943 1.261
```